1.
Structure and calculated XRD peak list of HoCo3C3 (the GGA-PBE geometry in OQMD; λ = 1.5418 Å (Cu Kα)).
Peak positions follow from Bragg's law for the DFT cell and can differ from measured ones.

Principal peaks in the range 2θ from 10° to 80°, in order of falling intensity:
2theta  Rel. int.  hkl
33.42  100.0  1 0 2
38.84  59.1  1 0 4
55.96  36.2  1 1 0
46.70  28.7  1 0 6
11.07  25.6  0 0 2
74.80  24.9  1 1 8
42.52  23.5  1 0 5
45.38  19.8  0 0 8

```
data_HoCo3C3
_chemical_formula_sum 'Ho2 Co6 C6'
_space_group_name_H-M_alt 'P 63/m m c'
_space_group_IT_number 194
_space_group_name_Hall '-P 6c 2c'
_cell_length_a 3.2865
_cell_length_b 3.2865
_cell_length_c 15.9880
_cell_angle_alpha 90.00
_cell_angle_beta 90.00
_cell_angle_gamma 120.00
loop_
_atom_site_label
_atom_site_type_symbol
_atom_site_fract_x
_atom_site_fract_y
_atom_site_fract_z
_atom_site_occupancy
Ho1 Ho 0.0000 0.0000 0.0000 1
Co1 Co 0.3333 0.6667 0.1373 1
Co2 Co 0.3333 0.6667 0.7500 1
C1 C 0.3333 0.6667 0.2500 1
C2 C 0.3333 0.6667 0.6070 1
```

***

2.
Structure and calculated XRD peak list of Ho2CoSi2MoC (the GGA-PBE geometry in OQMD; λ = 1.5418 Å (Cu Kα)).
Peak positions follow from Bragg's law for the DFT cell and can differ from measured ones.

Principal peaks in the range 2θ from 10° to 80°, in order of falling intensity:
2theta  Rel. int.  hkl
36.24  100.0  1 1 -2
33.93  82.8  3 1 -1
33.76  51.4  2 0 1
25.16  43.5  1 1 0
46.73  29.7  0 2 0
34.28  26.9  4 0 -1
40.90  26.9  4 0 -3
25.87  24.5  2 0 -2

```
data_Ho2CoSi2MoC
_chemical_formula_sum 'Ho4 Co2 Si4 Mo2 C2'
_space_group_name_H-M_alt 'C 1 m 1'
_space_group_IT_number 8
_space_group_name_Hall 'C -2y'
_cell_length_a 10.876
_cell_length_b 3.888
_cell_length_c 6.890
_cell_angle_alpha 90.00
_cell_angle_beta 128.13
_cell_angle_gamma 90.00
loop_
_atom_site_label
_atom_site_type_symbol
_atom_site_fract_x
_atom_site_fract_y
_atom_site_fract_z
_atom_site_occupancy
Ho1 Ho 0.000 0.000 0.000 1
Ho2 Ho 0.131 0.000 0.592 1
Co1 Co 0.359 0.000 0.200 1
Si1 Si 0.226 0.500 0.991 1
Si2 Si 0.433 0.000 0.612 1
Mo1 Mo 0.265 0.500 0.386 1
C1 C 0.056 0.500 0.289 1
```

***

3.
Structure and calculated XRD peak list of Ta4InCoC2 (the GGA-PBE geometry in OQMD; λ = 1.5418 Å (Cu Kα)).
Peak positions follow from Bragg's law for the DFT cell and can differ from measured ones.

Principal peaks in the range 2θ from 10° to 80°, in order of falling intensity:
2theta  Rel. int.  hkl
38.71  100.0  1 0 3
33.18  26.1  1 0 0
59.28  22.4  1 1 0
73.07  15.4  2 0 3
39.33  13.9  0 0 6
73.48  13.3  1 1 6
64.25  13.0  1 0 8
52.37  10.7  1 0 6

```
data_Ta4InCoC2
_chemical_formula_sum 'Ta4 In1 Co1 C2'
_space_group_name_H-M_alt 'P -6 m 2'
_space_group_IT_number 187
_space_group_name_Hall 'P -6 2'
_cell_length_a 3.1175
_cell_length_b 3.1175
_cell_length_c 13.7468
_cell_angle_alpha 90.00
_cell_angle_beta 90.00
_cell_angle_gamma 120.00
loop_
_atom_site_label
_atom_site_type_symbol
_atom_site_fract_x
_atom_site_fract_y
_atom_site_fract_z
_atom_site_occupancy
Ta1 Ta 0.0000 0.0000 0.1397 1
Ta2 Ta 0.6667 0.3333 0.3226 1
In1 In 0.0000 0.0000 0.5000 1
Co1 Co 0.6667 0.3333 0.0000 1
C1 C 0.3333 0.6667 0.2318 1
```

***

4.
Structure and calculated XRD peak list of K3CoC6N6 (the GGA-PBE geometry in OQMD; λ = 1.5418 Å (Cu Kα)).
Peak positions follow from Bragg's law for the DFT cell and can differ from measured ones.

Principal peaks in the range 2θ from 10° to 80°, in order of falling intensity:
2theta  Rel. int.  hkl
22.04  100.0  1 2 0
34.59  32.5  1 2 2
34.88  30.6  0 4 0
30.99  27.8  1 1 2
17.24  26.0  1 1 -1
31.35  25.5  2 1 -2
30.09  24.4  2 0 -2
45.00  23.8  2 4 0

```
data_K3CoC6N6
_chemical_formula_sum 'K6 Co2 C12 N12'
_space_group_name_H-M_alt 'P 1 21/c 1'
_space_group_IT_number 14
_space_group_name_Hall '-P 2ybc'
_cell_length_a 6.792
_cell_length_b 10.289
_cell_length_c 8.259
_cell_angle_alpha 90.00
_cell_angle_beta 107.00
_cell_angle_gamma 90.00
loop_
_atom_site_label
_atom_site_type_symbol
_atom_site_fract_x
_atom_site_fract_y
_atom_site_fract_z
_atom_site_occupancy
K1 K 0.000 0.000 0.000 1
K2 K 0.495 0.231 0.880 1
Co1 Co 0.000 0.000 0.500 1
C1 C 0.116 0.165 0.530 1
C2 C 0.186 0.552 0.884 1
C3 C 0.190 0.550 0.204 1
N1 N 0.195 0.232 0.054 1
N2 N 0.301 0.588 0.811 1
N3 N 0.309 0.580 0.333 1
```